Entry 1:
The following is a theoretical powder XRD pattern of BaZr2Tc. It was derived from DFT lattice parameters and positions (PBE), using λ = 1.5418 Å (Cu Kα).
Lines closer than 0.1° are merged.

abc: 3.7090 3.7152 8.0220
angles: 90.00 90.10 90.00
Space group Pm (No. 6)
One atom of each set of equivalent atoms:
Ba 0.0000 0.0000 0.0000 (multiplicity 1)
Zr 0.4992 0.5000 0.6473 (multiplicity 1)
Zr 0.9986 0.0000 0.4368 (multiplicity 1)
Tc 0.4985 0.5000 0.3242 (multiplicity 1)

Principal peaks in the range 10° ≤ 2θ ≤ 90°, by intensity:
2θ = 32.88°, intensity 100, (1 0 2)
2θ = 34.16°, intensity 92, (1 1 0)
2θ = 26.46°, intensity 45, (1 0 -1)
2θ = 49.08°, intensity 32, (2 0 0)
2θ = 48.61°, intensity 31, (1 1 3)
2θ = 60.32°, intensity 25, (1 2 2)

=====

Entry 2:
The following is a theoretical powder XRD pattern of Ba3Te. It was derived from DFT lattice parameters and positions (PBE), using λ = 1.5418 Å (Cu Kα).
Lines closer than 0.1° are merged.

abc: 8.9733 11.4295 7.8821
angles: 90.00 90.00 90.00
Space group Pnma (No. 62)
One atom of each set of equivalent atoms:
Ba 0.0283 0.2500 0.1565 (multiplicity 4)
Ba 0.1846 0.0549 0.6441 (multiplicity 8)
Te 0.1295 0.7500 0.4283 (multiplicity 4)

Principal peaks in the range 10° ≤ 2θ ≤ 90°, by intensity:
2θ = 25.92°, intensity 100, (0 3 1)
2θ = 27.85°, intensity 54, (1 3 1)
2θ = 29.27°, intensity 51, (1 2 2)
2θ = 27.70°, intensity 49, (2 2 1)
2θ = 25.24°, intensity 46, (2 2 0)
2θ = 46.02°, intensity 39, (0 0 4)

=====

Entry 3:
The following is a theoretical powder XRD pattern of BaTe. It was derived from DFT lattice parameters and positions (PBE), using λ = 1.5418 Å (Cu Kα).
Lines closer than 0.1° are merged.

abc: 4.9024 4.9024 25.7190
angles: 90.00 90.00 120.00
Space group R3m (No. 160, hexagonal axes)
One atom of each set of equivalent atoms:
Ba 0.0000 0.0000 0.0000 (multiplicity 3)
Ba 0.0000 0.0000 0.1691 (multiplicity 3)
Te 0.0000 0.0000 0.5838 (multiplicity 3)
Te 0.0000 0.0000 0.7522 (multiplicity 3)

Principal peaks in the range 10° ≤ 2θ ≤ 90°, by intensity:
2θ = 27.24°, intensity 100, (0 1 5)
2θ = 36.66°, intensity 62, (1 1 0)
2θ = 32.22°, intensity 59, (1 0 7)
2θ = 22.05°, intensity 42, (0 1 2)
2θ = 57.08°, intensity 34, (1 1 12)
2θ = 46.27°, intensity 23, (2 0 5)

=====

Entry 4:
The following is a theoretical powder XRD pattern of Ba4Te. It was derived from DFT lattice parameters and positions (PBE), using λ = 1.5418 Å (Cu Kα).
Lines closer than 0.1° are merged.

abc: 8.1986 8.1986 8.1986
angles: 90.00 90.00 90.00
Space group Im-3m (No. 229)
One atom of each set of equivalent atoms:
Ba 0.2500 0.2500 0.2500 (multiplicity 8)
Te 0.0000 0.0000 0.0000 (multiplicity 2)

Principal peaks in the range 10° ≤ 2θ ≤ 90°, by intensity:
2θ = 30.85°, intensity 100, (2 2 0)
2θ = 21.68°, intensity 46, (2 0 0)
2θ = 54.86°, intensity 39, (4 2 2)
2θ = 89.44°, intensity 21, (6 4 2)
2θ = 15.28°, intensity 20, (1 1 0)
2θ = 49.73°, intensity 20, (4 2 0)

=====

Entry 5:
The following is a theoretical powder XRD pattern of Ba3Te4. It was derived from DFT lattice parameters and positions (PBE), using λ = 1.5418 Å (Cu Kα).
Lines closer than 0.1° are merged.

abc: 8.0520 8.0520 5.5019
angles: 90.00 90.00 120.00
Space group P6/mmm (No. 191)
One atom of each set of equivalent atoms:
Ba 0.0000 0.5000 0.0000 (multiplicity 3)
Te 0.0000 0.0000 0.2612 (multiplicity 2)
Te 0.3333 0.6667 0.5000 (multiplicity 2)

Principal peaks in the range 10° ≤ 2θ ≤ 90°, by intensity:
2θ = 30.35°, intensity 100, (2 0 1)
2θ = 25.55°, intensity 83, (2 0 0)
2θ = 27.45°, intensity 81, (1 1 1)
2θ = 35.07°, intensity 68, (1 0 2)
2θ = 22.08°, intensity 59, (1 1 0)
2θ = 47.79°, intensity 56, (2 1 2)

=====

Entry 6:
The following is a theoretical powder XRD pattern of BaTe3. It was derived from DFT lattice parameters and positions (PBE), using λ = 1.5418 Å (Cu Kα).
Lines closer than 0.1° are merged.

abc: 8.0812 8.0812 4.4031
angles: 90.00 90.00 90.00
Space group P-42_1m (No. 113)
One atom of each set of equivalent atoms:
Ba 0.0000 0.0000 0.0000 (multiplicity 2)
Te 0.0000 0.5000 0.1012 (multiplicity 2)
Te 0.1967 0.6967 0.5025 (multiplicity 4)

Principal peaks in the range 10° ≤ 2θ ≤ 90°, by intensity:
2θ = 30.02°, intensity 100, (2 0 1)
2θ = 31.31°, intensity 41, (2 2 0)
2θ = 32.04°, intensity 25, (2 1 1)
2θ = 24.63°, intensity 19, (2 1 0)
2θ = 54.92°, intensity 15, (4 2 1)
2θ = 51.00°, intensity 14, (4 1 1)

=====

Entry 7:
The following is a theoretical powder XRD pattern of BaThTe3. It was derived from DFT lattice parameters and positions (PBE), using λ = 1.5418 Å (Cu Kα).
Lines closer than 0.1° are merged.

abc: 17.8203 4.6022 10.2765
angles: 90.00 91.17 90.00
Space group C2/m (No. 12)
One atom of each set of equivalent atoms:
Ba 0.1059 0.0000 0.4219 (multiplicity 4)
Th 0.1834 0.5000 0.8397 (multiplicity 4)
Te 0.0396 0.5000 0.6761 (multiplicity 4)
Te 0.1467 0.0000 0.0378 (multiplicity 4)
Te 0.2493 0.5000 0.3324 (multiplicity 4)

Principal peaks in the range 10° ≤ 2θ ≤ 90°, by intensity:
2θ = 26.41°, intensity 100, (1 1 -2)
2θ = 29.92°, intensity 75, (3 1 -2)
2θ = 13.02°, intensity 58, (2 0 -1)
2θ = 31.53°, intensity 50, (6 0 1)
2θ = 36.25°, intensity 48, (3 1 3)
2θ = 26.76°, intensity 44, (4 0 2)

=====

Entry 8:
The following is a theoretical powder XRD pattern of BaTh2Te4. It was derived from DFT lattice parameters and positions (PBE), using λ = 1.5418 Å (Cu Kα).
Lines closer than 0.1° are merged.

abc: 14.1534 4.4231 16.6488
angles: 90.00 90.00 90.00
Space group Pnma (No. 62)
One atom of each set of equivalent atoms:
Ba 0.2235 0.2500 0.1830 (multiplicity 4)
Th 0.0398 0.2500 0.4080 (multiplicity 4)
Th 0.0903 0.2500 0.9038 (multiplicity 4)
Te 0.0347 0.7500 0.7783 (multiplicity 4)
Te 0.1177 0.2500 0.5844 (multiplicity 4)
Te 0.1224 0.7500 0.0377 (multiplicity 4)
Te 0.1946 0.7500 0.3509 (multiplicity 4)

Principal peaks in the range 10° ≤ 2θ ≤ 90°, by intensity:
2θ = 25.75°, intensity 100, (0 1 3)
2θ = 30.15°, intensity 96, (1 1 4)
2θ = 32.87°, intensity 94, (4 1 1)
2θ = 23.66°, intensity 84, (1 1 2)
2θ = 32.11°, intensity 81, (2 1 4)
2θ = 26.53°, intensity 76, (1 1 3)

=====

Entry 9:
The following is a theoretical powder XRD pattern of BaTlTe2. It was derived from DFT lattice parameters and positions (PBE), using λ = 1.5418 Å (Cu Kα).
Lines closer than 0.1° are merged.

abc: 6.6233 27.3654 6.6245
angles: 90.00 90.00 90.00
Space group Fmm2 (No. 42)
One atom of each set of equivalent atoms:
Ba 0.0000 0.1006 0.0000 (multiplicity 8)
Tl 0.2500 0.2500 0.2520 (multiplicity 8)
Te 0.0000 0.1519 0.5003 (multiplicity 8)
Te 0.2501 0.0000 0.2496 (multiplicity 8)

Principal peaks in the range 10° ≤ 2θ ≤ 90°, by intensity:
2θ = 29.98°, intensity 100, (2 4 0)
2θ = 38.44°, intensity 31, (2 0 2)
2θ = 64.36°, intensity 23, (4 4 2)
2θ = 26.05°, intensity 20, (0 8 0)
2θ = 47.02°, intensity 16, (2 8 2)
2θ = 60.97°, intensity 14, (2 16 0)

=====

Entry 10:
The following is a theoretical powder XRD pattern of BaTlTe. It was derived from DFT lattice parameters and positions (PBE), using λ = 1.5418 Å (Cu Kα).
Lines closer than 0.1° are merged.

abc: 5.4653 5.4653 4.4648
angles: 90.00 90.00 120.00
Space group P-6m2 (No. 187)
One atom of each set of equivalent atoms:
Ba 0.0000 0.0000 0.0000 (multiplicity 1)
Tl 0.3333 0.6667 0.5000 (multiplicity 1)
Te 0.6667 0.3333 0.5000 (multiplicity 1)

Principal peaks in the range 10° ≤ 2θ ≤ 90°, by intensity:
2θ = 27.46°, intensity 100, (1 0 1)
2θ = 32.77°, intensity 72, (1 1 0)
2θ = 52.96°, intensity 37, (1 1 2)
2θ = 43.27°, intensity 29, (2 0 1)
2θ = 55.32°, intensity 29, (2 1 1)
2θ = 75.48°, intensity 17, (3 1 1)

=====

Entry 11:
The following is a theoretical powder XRD pattern of Ba2YTlTe. It was derived from DFT lattice parameters and positions (PBE), using λ = 1.5418 Å (Cu Kα).
Lines closer than 0.1° are merged.

abc: 6.5603 6.5603 5.7311
angles: 90.00 90.00 90.00
Space group P4/mmm (No. 123)
One atom of each set of equivalent atoms:
Ba 0.0000 0.5000 0.0000 (multiplicity 2)
Y 0.0000 0.0000 0.5000 (multiplicity 1)
Tl 0.5000 0.5000 0.5000 (multiplicity 1)
Te 0.0000 0.0000 0.0000 (multiplicity 1)

Principal peaks in the range 10° ≤ 2θ ≤ 90°, by intensity:
2θ = 24.69°, intensity 100, (1 1 1)
2θ = 27.19°, intensity 98, (2 0 0)
2θ = 41.86°, intensity 61, (2 0 2)
2θ = 20.58°, intensity 44, (1 0 1)
2θ = 38.83°, intensity 38, (2 2 0)
2θ = 46.56°, intensity 36, (3 1 1)

=====

Entry 12:
The following is a theoretical powder XRD pattern of Ba2U3Te8. It was derived from DFT lattice parameters and positions (PBE), using λ = 1.5418 Å (Cu Kα).
Lines closer than 0.1° are merged.

abc: 10.7600 16.7047 5.3650
angles: 90.00 90.00 90.00
Space group Cmmm (No. 65)
One atom of each set of equivalent atoms:
Ba 0.0000 0.2373 0.0000 (multiplicity 4)
U 0.0000 0.5000 0.0000 (multiplicity 2)
U 0.2306 0.0000 0.5000 (multiplicity 4)
Te 0.0000 0.1111 0.5000 (multiplicity 4)
Te 0.0000 0.3977 0.5000 (multiplicity 4)
Te 0.2348 0.3919 0.0000 (multiplicity 8)

Principal peaks in the range 10° ≤ 2θ ≤ 90°, by intensity:
2θ = 31.84°, intensity 100, (2 4 1)
2θ = 33.36°, intensity 49, (0 0 2)
2θ = 10.59°, intensity 39, (0 2 0)
2θ = 19.65°, intensity 23, (0 2 1)
2θ = 40.16°, intensity 18, (2 6 1)
2θ = 58.73°, intensity 18, (2 4 3)

=====

Entry 13:
The following is a theoretical powder XRD pattern of Ba3YTe. It was derived from DFT lattice parameters and positions (PBE), using λ = 1.5418 Å (Cu Kα).
Lines closer than 0.1° are merged.

abc: 6.2750 6.2750 6.2750
angles: 90.00 90.00 90.00
Space group Pm-3m (No. 221)
One atom of each set of equivalent atoms:
Ba 0.0000 0.0000 0.5000 (multiplicity 3)
Y 0.0000 0.0000 0.0000 (multiplicity 1)
Te 0.5000 0.5000 0.5000 (multiplicity 1)

Principal peaks in the range 10° ≤ 2θ ≤ 90°, by intensity:
2θ = 28.45°, intensity 100, (2 0 0)
2θ = 24.57°, intensity 95, (1 1 1)
2θ = 40.67°, intensity 75, (2 2 0)
2θ = 48.09°, intensity 46, (3 1 1)
2θ = 66.65°, intensity 35, (4 2 0)
2θ = 50.37°, intensity 27, (2 2 2)

=====

Entry 14:
The following is a theoretical powder XRD pattern of BaTl3. It was derived from DFT lattice parameters and positions (PBE), using λ = 1.5418 Å (Cu Kα).
Lines closer than 0.1° are merged.

abc: 4.0951 5.5072 6.3716
angles: 90.00 98.00 90.00
Space group P2/m (No. 10)
One atom of each set of equivalent atoms:
Ba 0.0000 0.0000 0.0000 (multiplicity 1)
Tl 0.3009 0.5000 0.7196 (multiplicity 2)
Tl 0.5000 0.0000 0.5000 (multiplicity 1)

Principal peaks in the range 10° ≤ 2θ ≤ 90°, by intensity:
2θ = 29.36°, intensity 100, (1 1 -1)
2θ = 32.71°, intensity 81, (0 1 2)
2θ = 27.76°, intensity 66, (1 0 1)
2θ = 32.52°, intensity 44, (0 2 0)
2θ = 43.27°, intensity 40, (1 2 1)
2θ = 47.80°, intensity 24, (2 1 0)